(1)
Theoretical powder diffraction line list
Compound: K2PuI4
Radiation: CuKα
Structure: a cell relaxed with PBE

Structural model:
```
7
Lattice="-3.1149 3.1149 8.9919 3.1149 -3.1149 8.9919 3.1149 3.1149 -8.9919" Properties=species:S:1:pos:R:3 pbc="T T T"
K 0.0000 0.0000 2.4109
K 0.0000 0.0000 15.5730
Pu 0.0000 0.0000 8.9919
I 3.1149 0.0000 0.0000
I 0.0000 0.0000 5.8326
I 0.0000 3.1149 0.0000
I 0.0000 0.0000 12.1513
```

The 6 most intense peaks (2θ = 10–80°), low angle first:
d = 5.887 Å, 15.05°, intensity 70
d = 3.115 Å, 28.66°, intensity 100
d = 2.997 Å, 29.81°, intensity 23
d = 2.753 Å, 32.52°, intensity 23
d = 2.203 Å, 40.98°, intensity 52
d = 2.160 Å, 41.83°, intensity 37

---

(2)
Theoretical powder diffraction line list
Compound: Pr6SnSb5
Radiation: CuKα
Structure: a cell relaxed with PBE

Structural model:
```
12
Lattice="3.9496 -6.8424 0.0000 3.9496 6.8424 0.0000 -2.6351 0.0000 7.4237" Properties=species:S:1:pos:R:3 pbc="T T T"
Pr -0.0095 2.2965 5.5672
Pr 1.2993 0.0000 1.8641
Pr -0.0095 -2.2965 5.5672
Pr 5.2736 2.2965 1.8565
Pr 3.9648 0.0000 5.5596
Pr 5.2736 -2.2965 1.8565
Sn 3.9496 0.0000 0.0000
Sb -1.3176 0.0000 3.7118
Sb 3.9496 4.5658 0.0000
Sb 2.6321 2.2861 3.7118
Sb 2.6321 -2.2861 3.7118
Sb 3.9496 -4.5658 0.0000
```

The 6 most intense peaks (2θ = 10–80°), low angle first:
d = 3.222 Å, 27.69°, intensity 100
d = 2.279 Å, 39.55°, intensity 64
d = 1.861 Å, 48.93°, intensity 21
d = 1.442 Å, 64.63°, intensity 18
d = 1.439 Å, 64.76°, intensity 18
d = 1.316 Å, 71.72°, intensity 20

---

(3)
Theoretical powder diffraction line list
Compound: Na2Ag2Au15
Radiation: CuKα
Structure: a cell relaxed with PBE

Structural model:
```
19
Lattice="4.8660 2.8094 4.6683 -4.8660 2.8094 4.6683 0.0000 -5.6188 4.6683" Properties=species:S:1:pos:R:3 pbc="T T T"
Na 0.0000 0.0000 2.1319
Na 0.0000 0.0000 11.8730
Ag 0.0000 0.0000 5.6045
Ag 0.0000 0.0000 8.4004
Au -2.4330 -1.4047 4.6683
Au 0.0000 -2.8278 4.5344
Au -2.4490 1.4139 4.5344
Au -1.5271 -2.6450 7.0025
Au -3.0541 0.0000 7.0025
Au -2.4490 -1.4139 9.4705
Au -2.4330 1.4047 9.3366
Au 1.5271 -2.6450 7.0025
Au 0.0000 2.8094 4.6683
Au -1.5271 2.6450 7.0025
Au 2.4490 1.4139 4.5344
Au 3.0541 0.0000 7.0025
Au 1.5271 2.6450 7.0025
Au 2.4490 -1.4139 9.4705
Au 0.0000 2.8278 9.4705
```

The 6 most intense peaks (2θ = 10–80°), low angle first:
d = 4.866 Å, 18.23°, intensity 57
d = 2.433 Å, 36.95°, intensity 28
d = 2.407 Å, 37.36°, intensity 72
d = 2.334 Å, 38.58°, intensity 35
d = 2.158 Å, 41.87°, intensity 100
d = 2.105 Å, 42.98°, intensity 29

---

(4)
Theoretical powder diffraction line list
Compound: Cs3Rb2Cd2Au4
Radiation: CuKα
Structure: a cell relaxed with PBE

Structural model:
```
11
Lattice="-2.8542 2.8542 14.2229 2.8542 -2.8542 14.2229 2.8542 2.8542 -14.2229" Properties=species:S:1:pos:R:3 pbc="T T T"
Cs 0.0000 0.0000 0.0000
Cs 0.0000 0.0000 4.2892
Cs 0.0000 0.0000 24.1567
Rb 0.0000 0.0000 9.2258
Rb 0.0000 0.0000 19.2201
Cd 0.0000 0.0000 12.6789
Cd 0.0000 0.0000 15.7670
Au 2.8542 0.0000 2.3532
Au 2.8542 0.0000 11.8698
Au 0.0000 2.8542 2.3532
Au 0.0000 2.8542 11.8698
```

The 6 most intense peaks (2θ = 10–80°), low angle first:
d = 7.111 Å, 12.45°, intensity 27
d = 3.311 Å, 26.93°, intensity 23
d = 3.073 Å, 29.05°, intensity 100
d = 2.854 Å, 31.34°, intensity 73
d = 2.018 Å, 44.91°, intensity 27
d = 1.687 Å, 54.38°, intensity 35

---

(5)
Theoretical powder diffraction line list
Compound: Li4GaPb
Radiation: CuKα
Structure: a cell relaxed with PBE

Structural model:
```
6
Lattice="3.0333 0.0000 0.0000 0.0000 4.6314 0.0000 -0.1522 0.0000 7.9055" Properties=species:S:1:pos:R:3 pbc="T T T"
Li 0.0000 0.0000 0.0000
Li 0.0057 2.3157 4.1052
Li 0.6666 2.3157 1.3141
Li 0.7787 0.0000 5.3847
Ga 1.7922 2.3157 6.6667
Pb 1.8744 0.0000 2.6876
```

The 6 most intense peaks (2θ = 10–80°), low angle first:
d = 7.905 Å, 11.19°, intensity 51
d = 3.996 Å, 22.25°, intensity 100
d = 3.953 Å, 22.49°, intensity 49
d = 2.428 Å, 37.03°, intensity 46
d = 2.405 Å, 37.40°, intensity 33
d = 2.290 Å, 39.34°, intensity 29

---

(6)
Theoretical powder diffraction line list
Compound: BC2
Radiation: CuKα
Structure: a cell relaxed with PBE

Structural model:
```
6
Lattice="2.6129 0.0000 0.0000 -1.3065 2.2629 0.0000 0.0000 0.0000 6.4846" Properties=species:S:1:pos:R:3 pbc="T T T"
B 0.0000 1.5086 1.3751
B 1.3065 0.7543 5.1095
C 0.0000 0.0000 0.7116
C 0.0000 0.0000 5.7730
C 0.0000 1.5086 3.0161
C 1.3065 0.7543 3.4685
```

The 5 most intense peaks (2θ = 10–80°), low angle first:
d = 3.242 Å, 27.51°, intensity 7
d = 2.162 Å, 41.79°, intensity 27
d = 2.137 Å, 42.30°, intensity 100
d = 1.318 Å, 71.60°, intensity 24
d = 1.306 Å, 72.33°, intensity 25